(1)
# TbAlNO
Theoretical powder XRD pattern, Cu Kα (λ = 1.5418 Å). Input: a structure optimized by DFT (PBE).
No peak broadening, texture or thermal motion is included.

Peak list (10 most intense, 2θ from 5° to 70°, in order of rising 2θ)
11.2 deg, rel. 69
27.4 deg, rel. 54
33.8 deg, rel. 100
34.0 deg, rel. 17
34.9 deg, rel. 31
36.1 deg, rel. 31
51.1 deg, rel. 20
59.8 deg, rel. 19
61.8 deg, rel. 17
63.5 deg, rel. 18

Structure:
```
data_TbAlNO
_cell_length_a 5.148
_cell_length_b 7.911
_cell_length_c 4.972
_cell_angle_alpha 90.00
_cell_angle_beta 90.00
_cell_angle_gamma 90.00
_symmetry_space_group_name_H-M 'P c a 21'
_symmetry_Int_Tables_number 29
loop_
_symmetry_equiv_pos_as_xyz
'x,y,z'
'-x,-y,z+1/2'
'-x+1/2,y,z+1/2'
'x+1/2,-y,z'
loop_
_atom_site_label
_atom_site_type_symbol
_atom_site_fract_x
_atom_site_fract_y
_atom_site_fract_z
Tb1 Tb 0.010 0.133 0.000
Al1 Al 0.061 0.614 0.966
N1 N 0.007 0.837 0.001
O1 O 0.123 0.554 0.613
```

---

(2)
# Li4ZnIn2Ir
Theoretical powder XRD pattern, Cu Kα (λ = 1.5418 Å). Input: a structure optimized by DFT (PBE).
No peak broadening, texture or thermal motion is included.

Peak list (10 most intense, 2θ from 5° to 70°, in order of rising 2θ)
13.9 deg, rel. 14
19.8 deg, rel. 10
24.3 deg, rel. 100
40.1 deg, rel. 63
40.2 deg, rel. 31
47.3 deg, rel. 16
47.5 deg, rel. 33
58.2 deg, rel. 10
63.8 deg, rel. 13
64.0 deg, rel. 7

Structure:
```
data_Li4ZnIn2Ir
_cell_length_a 4.483
_cell_length_b 4.483
_cell_length_c 6.388
_cell_angle_alpha 90.00
_cell_angle_beta 90.00
_cell_angle_gamma 90.00
_symmetry_space_group_name_H-M 'P -4 m 2'
_symmetry_Int_Tables_number 115
loop_
_symmetry_equiv_pos_as_xyz
'x,y,z'
'y,-x,-z'
'-x,-y,z'
'-y,x,-z'
'-x,y,z'
'-y,-x,-z'
'x,-y,z'
'y,x,-z'
loop_
_atom_site_label
_atom_site_type_symbol
_atom_site_fract_x
_atom_site_fract_y
_atom_site_fract_z
Li1 Li 0.000 0.000 0.000
Li2 Li 0.000 0.500 0.246
Li3 Li 0.500 0.500 0.500
Zn1 Zn 0.000 0.000 0.500
In1 In 0.000 0.500 0.760
Ir1 Ir 0.500 0.500 0.000
```